Entry 1:
CsH2CO3: simulated XRD peak list (Cu Ka), based on DFT lattice parameters and positions (GGA-PBE).

Main lines, in order of falling intensity (2θ = 10–80°):
| d (Å) | Position (°2θ) | I/Imax |
| --- | --- | --- |
| 2.985 | 29.94 | 1000 |
| 3.766 | 23.63 | 963 |
| 4.008 | 22.18 | 907 |
| 3.104 | 28.76 | 750 |
| 2.830 | 31.62 | 602 |
| 2.747 | 32.60 | 510 |
| 3.381 | 26.36 | 465 |
| 5.856 | 15.13 | 452 |
| 1.954 | 46.47 | 441 |
| 2.287 | 39.39 | 439 |

Structure:
a = 6.273 Å, b = 10.989 Å, c = 6.276 Å
α = 90.00°, β = 111.01°, γ = 90.00°
Atoms (fractional coordinates):
Cs  0.110  0.116  0.291
Cs  0.110  0.384  0.791
Cs  0.890  0.616  0.209
Cs  0.890  0.884  0.709
H  0.337  0.638  0.891
H  0.337  0.862  0.391
H  0.349  0.733  0.084
H  0.349  0.767  0.584
H  0.651  0.233  0.416
H  0.651  0.267  0.916
H  0.663  0.138  0.609
H  0.663  0.362  0.109
C  0.472  0.060  0.925
C  0.472  0.440  0.425
C  0.528  0.560  0.575
C  0.528  0.940  0.075
O  0.275  0.105  0.869
O  0.275  0.395  0.369
O  0.307  0.647  0.034
O  0.307  0.853  0.534
O  0.363  0.605  0.625
O  0.363  0.895  0.125
O  0.637  0.105  0.875
O  0.637  0.395  0.375
O  0.693  0.147  0.466
O  0.693  0.353  0.966
O  0.725  0.605  0.631
O  0.725  0.895  0.131

---

Entry 2:
CsHCO3: simulated XRD peak list (Cu Ka), based on DFT lattice parameters and positions (GGA-PBE).

Main lines, in order of falling intensity (2θ = 10–80°):
| d (Å) | Position (°2θ) | I/Imax |
| --- | --- | --- |
| 3.342 | 26.67 | 1000 |
| 3.440 | 25.90 | 707 |
| 3.099 | 28.81 | 463 |
| 3.548 | 25.10 | 381 |
| 2.450 | 36.68 | 298 |
| 4.342 | 20.45 | 280 |
| 2.325 | 38.74 | 277 |
| 2.403 | 37.42 | 231 |
| 2.905 | 30.77 | 226 |
| 2.159 | 41.83 | 220 |

Structure:
a = 4.688 Å, b = 11.316 Å, c = 7.790 Å
α = 90.00°, β = 112.15°, γ = 90.00°
Atoms (fractional coordinates):
Cs  0.072  0.172  0.422
Cs  0.072  0.328  0.922
Cs  0.928  0.672  0.078
Cs  0.928  0.828  0.578
H  0.500  0.095  0.997
H  0.500  0.405  0.497
H  0.500  0.595  0.503
H  0.500  0.905  0.003
C  0.331  0.547  0.689
C  0.331  0.953  0.189
C  0.669  0.047  0.811
C  0.669  0.453  0.311
O  0.219  0.582  0.804
O  0.219  0.918  0.304
O  0.374  0.061  0.154
O  0.374  0.439  0.654
O  0.418  0.633  0.595
O  0.418  0.867  0.095
O  0.582  0.133  0.905
O  0.582  0.367  0.405
O  0.626  0.561  0.346
O  0.626  0.939  0.846
O  0.781  0.082  0.696
O  0.781  0.418  0.196

---

Entry 3:
CsHCO3: simulated XRD peak list (Cu Ka), based on DFT lattice parameters and positions (GGA-PBE).

Main lines, in order of falling intensity (2θ = 10–80°):
| d (Å) | Position (°2θ) | I/Imax |
| --- | --- | --- |
| 3.488 | 25.54 | 1000 |
| 3.709 | 24.00 | 971 |
| 3.254 | 27.40 | 789 |
| 3.388 | 26.30 | 786 |
| 2.624 | 34.17 | 579 |
| 3.501 | 25.44 | 570 |
| 4.663 | 19.03 | 565 |
| 2.194 | 41.15 | 550 |
| 3.592 | 24.79 | 537 |
| 2.383 | 37.75 | 402 |

Structure:
a = 4.783 Å, b = 11.265 Å, c = 8.057 Å
α = 90.00°, β = 102.85°, γ = 90.00°
Atoms (fractional coordinates):
Cs  0.069  0.176  0.415
Cs  0.069  0.324  0.915
Cs  0.931  0.676  0.085
Cs  0.931  0.824  0.585
H  0.497  0.597  0.497
H  0.497  0.903  0.997
H  0.503  0.097  0.003
H  0.503  0.403  0.503
C  0.329  0.548  0.691
C  0.329  0.952  0.191
C  0.671  0.048  0.809
C  0.671  0.452  0.309
O  0.212  0.583  0.808
O  0.212  0.917  0.308
O  0.373  0.061  0.156
O  0.373  0.439  0.656
O  0.415  0.634  0.593
O  0.415  0.866  0.093
O  0.585  0.134  0.907
O  0.585  0.366  0.407
O  0.627  0.561  0.344
O  0.627  0.939  0.844
O  0.788  0.083  0.692
O  0.788  0.417  0.192

---

Entry 4:
CsHC2O4: simulated XRD peak list (Cu Ka), based on DFT lattice parameters and positions (GGA-PBE).

Main lines, in order of falling intensity (2θ = 10–80°):
| d (Å) | Position (°2θ) | I/Imax |
| --- | --- | --- |
| 3.782 | 23.52 | 1000 |
| 3.429 | 25.99 | 901 |
| 5.199 | 17.06 | 509 |
| 3.534 | 25.20 | 502 |
| 3.496 | 25.48 | 501 |
| 4.970 | 17.85 | 479 |
| 2.485 | 36.14 | 396 |
| 2.923 | 30.59 | 388 |
| 2.214 | 40.75 | 385 |
| 2.402 | 37.44 | 326 |

Structure:
a = 10.497 Å, b = 7.068 Å, c = 7.058 Å
α = 90.00°, β = 97.91°, γ = 90.00°
Atoms (fractional coordinates):
Cs  0.229  0.017  0.494
Cs  0.229  0.483  0.994
Cs  0.771  0.517  0.006
Cs  0.771  0.983  0.506
H  0.287  0.572  0.559
H  0.287  0.928  0.059
H  0.713  0.072  0.941
H  0.713  0.428  0.441
C  0.067  0.018  0.964
C  0.067  0.482  0.464
C  0.497  0.584  0.572
C  0.497  0.916  0.072
C  0.503  0.084  0.928
C  0.503  0.416  0.428
C  0.933  0.518  0.536
C  0.933  0.982  0.036
O  0.072  0.123  0.823
O  0.072  0.377  0.323
O  0.161  0.569  0.564
O  0.161  0.931  0.064
O  0.385  0.634  0.612
O  0.385  0.866  0.112
O  0.402  0.162  0.858
O  0.402  0.338  0.358
O  0.598  0.662  0.642
O  0.598  0.838  0.142
O  0.615  0.134  0.888
O  0.615  0.366  0.388
O  0.839  0.069  0.936
O  0.839  0.431  0.436
O  0.928  0.623  0.677
O  0.928  0.877  0.177